Diffraction record for U2BiSb2. The powder diffractogram is simulated, not measured: it uses a structure optimized by DFT (GGA-PBE) and Cu Kα X-rays.
No peak broadening, texture or thermal motion is included.

Principal peaks in the range 2θ = 10–90°, in order of rising 2θ:
(0 0 5), 27.8°, d 3.214, I = 57; (1 0 0), 29.3°, d 3.044, I = 100; (1 0 5), 40.8°, d 2.210, I = 83; (1 1 0), 42.0°, d 2.152, I = 39; (1 1 5), 51.1°, d 1.788, I = 44; (2 0 0), 60.9°, d 1.522, I = 13; (1 0 10), 65.7°, d 1.421, I = 21; (2 0 5), 68.2°, d 1.375, I = 20; (2 1 0), 69.0°, d 1.361, I = 18; (1 1 10), 73.5°, d 1.288, I = 17; (2 1 5), 75.9°, d 1.253, I = 28; (2 0 10), 88.5°, d 1.105, I = 10

Atomic structure:
a = 3.044 Å, b = 3.044 Å, c = 16.072 Å
α = 90.00°, β = 90.00°, γ = 90.00°
Atoms (fractional coordinates):
U 0.000 0.000 0.201
U 0.000 0.000 0.799
Bi 0.000 0.000 0.000
Sb 0.000 0.000 0.401
Sb 0.000 0.000 0.599